Record 1
# TbPrHo6
Theoretical X-ray diffraction stick pattern, Cu Ka. Input: DFT lattice parameters and positions (PBE).
Neutral-atom scattering factors, no anomalous dispersion.

Atomic structure:
a = 6.443 Å, b = 6.443 Å, c = 6.443 Å
α = 96.60°, β = 96.60°, γ = 96.60°
Element x y z (fractional)
Tb: 0.000 0.000 0.000
Pr: 0.500 0.500 0.500
Ho: 0.046 0.752 0.455
Ho: 0.248 0.545 0.954
Ho: 0.455 0.046 0.752
Ho: 0.545 0.954 0.248
Ho: 0.752 0.455 0.046
Ho: 0.954 0.248 0.545

Top 10 peaks for 10 to 80 degrees two-theta, by angle:
Position (°2θ), d (Å), intensity
28.1, 3.173, 31
29.8, 2.998, 24
32.2, 2.777, 100
33.2, 2.701, 95
33.8, 2.649, 25
46.9, 1.936, 26
51.3, 1.781, 18
54.6, 1.681, 13
58.1, 1.588, 31
59.8, 1.546, 16

Record 2
# La4Nd4Y
Theoretical X-ray diffraction stick pattern, Cu Ka. Input: DFT lattice parameters and positions (PBE).
Neutral-atom scattering factors, no anomalous dispersion.

Atomic structure:
a = 8.255 Å, b = 8.255 Å, c = 8.233 Å
α = 107.30°, β = 107.30°, γ = 37.06°
Element x y z (fractional)
La: 0.056 0.056 0.333
La: 0.389 0.389 0.334
La: 0.611 0.611 0.666
La: 0.944 0.944 0.667
Nd: 0.166 0.166 0.999
Nd: 0.278 0.278 0.670
Nd: 0.722 0.722 0.330
Nd: 0.834 0.834 0.001
Y: 0.500 0.500 0.000

Top 10 peaks for 10 to 80 degrees two-theta, by angle:
Position (°2θ), d (Å), intensity
29.6, 3.017, 100
34.2, 2.624, 17
34.4, 2.607, 34
49.3, 1.849, 24
58.4, 1.581, 7
58.4, 1.580, 7
58.6, 1.575, 14
58.7, 1.572, 14
61.4, 1.510, 6
61.5, 1.507, 6

Record 3
# TaFeW2
Theoretical X-ray diffraction stick pattern, Cu Ka. Input: DFT lattice parameters and positions (PBE).
Neutral-atom scattering factors, no anomalous dispersion.

Atomic structure:
a = 3.168 Å, b = 3.168 Å, c = 6.169 Å
α = 90.00°, β = 90.00°, γ = 90.00°
Element x y z (fractional)
Ta: 0.000 0.000 0.000
Fe: 0.500 0.500 0.759
W: 0.000 0.000 0.517
W: 0.500 0.500 0.269

Top 10 peaks for 10 to 80 degrees two-theta, by angle:
Position (°2θ), d (Å), intensity
14.4, 6.169, 9
28.2, 3.168, 5
31.8, 2.818, 11
40.3, 2.240, 53
40.8, 2.210, 100
58.3, 1.584, 18
60.0, 1.542, 8
61.2, 1.515, 3
73.6, 1.287, 35
74.7, 1.270, 16

Record 4
# K2In4Au5
Theoretical X-ray diffraction stick pattern, Cu Ka. Input: DFT lattice parameters and positions (PBE).
Neutral-atom scattering factors, no anomalous dispersion.

Atomic structure:
a = 10.185 Å, b = 9.112 Å, c = 6.335 Å
α = 80.32°, β = 61.87°, γ = 37.81°
Element x y z (fractional)
K: 0.133 0.133 0.867
K: 0.867 0.867 0.133
In: 0.211 0.534 0.466
In: 0.466 0.789 0.211
In: 0.534 0.211 0.789
In: 0.789 0.466 0.534
Au: 0.000 0.000 0.500
Au: 0.250 0.250 0.250
Au: 0.500 0.500 0.000
Au: 0.500 0.500 0.500
Au: 0.750 0.750 0.750

Top 10 peaks for 10 to 80 degrees two-theta, by angle:
Position (°2θ), d (Å), intensity
16.1, 5.515, 91
17.1, 5.173, 61
32.3, 2.769, 50
33.0, 2.713, 48
35.6, 2.520, 68
38.8, 2.318, 59
39.3, 2.292, 100
42.2, 2.141, 38
54.3, 1.690, 29
58.3, 1.584, 31

Record 5
# Sn2SbSe
Theoretical X-ray diffraction stick pattern, Cu Ka. Input: DFT lattice parameters and positions (PBE).
Neutral-atom scattering factors, no anomalous dispersion.

Atomic structure:
a = 6.086 Å, b = 6.197 Å, c = 13.800 Å
α = 90.00°, β = 116.01°, γ = 90.00°
Element x y z (fractional)
Sn: 0.118 0.231 0.124
Sn: 0.118 0.769 0.624
Sn: 0.361 0.235 0.877
Sn: 0.361 0.765 0.377
Sn: 0.639 0.235 0.623
Sn: 0.639 0.765 0.123
Sn: 0.882 0.231 0.376
Sn: 0.882 0.769 0.876
Sb: 0.381 0.273 0.374
Sb: 0.381 0.727 0.874
Sb: 0.619 0.273 0.126
Sb: 0.619 0.727 0.626
Se: 0.110 0.217 0.626
Se: 0.110 0.783 0.126
Se: 0.890 0.217 0.874
Se: 0.890 0.783 0.374

Top 10 peaks for 10 to 80 degrees two-theta, by angle:
Position (°2θ), d (Å), intensity
28.8, 3.099, 100
29.4, 3.043, 48
41.2, 2.192, 37
41.6, 2.172, 54
41.6, 2.169, 19
51.4, 1.778, 38
59.7, 1.550, 12
67.6, 1.386, 15
68.7, 1.366, 12
75.3, 1.262, 11

Record 6
# AcTb4DyS8
Theoretical X-ray diffraction stick pattern, Cu Ka. Input: DFT lattice parameters and positions (PBE).
Neutral-atom scattering factors, no anomalous dispersion.

Atomic structure:
a = 8.190 Å, b = 8.190 Å, c = 8.190 Å
α = 60.07°, β = 60.07°, γ = 60.07°
Element x y z (fractional)
Ac: 0.000 0.000 0.000
Tb: 0.131 0.623 0.623
Tb: 0.250 0.250 0.250
Tb: 0.623 0.131 0.623
Tb: 0.623 0.623 0.131
Dy: 0.623 0.623 0.623
S: 0.381 0.381 0.381
S: 0.382 0.382 0.855
S: 0.382 0.855 0.382
S: 0.420 0.859 0.859
S: 0.855 0.382 0.382
S: 0.859 0.420 0.859
S: 0.859 0.859 0.420
S: 0.860 0.860 0.860

Top 10 peaks for 10 to 80 degrees two-theta, by angle:
Position (°2θ), d (Å), intensity
21.7, 4.097, 33
25.5, 3.494, 100
26.6, 3.345, 12
30.9, 2.897, 12
38.0, 2.365, 15
40.4, 2.230, 45
44.2, 2.048, 54
51.7, 1.767, 15
61.5, 1.509, 25
70.4, 1.338, 14

Record 7
# Al2VFe5B2
Theoretical X-ray diffraction stick pattern, Cu Ka. Input: DFT lattice parameters and positions (PBE).
Neutral-atom scattering factors, no anomalous dispersion.

Atomic structure:
a = 8.597 Å, b = 8.597 Å, c = 2.794 Å
α = 90.00°, β = 90.00°, γ = 90.00°
Element x y z (fractional)
Al: 0.176 0.324 0.000
Al: 0.324 0.824 0.000
Al: 0.676 0.176 0.000
Al: 0.824 0.676 0.000
V: 0.000 0.000 0.000
V: 0.500 0.500 0.000
Fe: 0.000 0.500 0.500
Fe: 0.069 0.786 0.500
Fe: 0.214 0.069 0.500
Fe: 0.286 0.569 0.500
Fe: 0.431 0.286 0.500
Fe: 0.500 0.000 0.500
Fe: 0.569 0.714 0.500
Fe: 0.714 0.431 0.500
Fe: 0.786 0.931 0.500
Fe: 0.931 0.214 0.500
B: 0.123 0.623 0.000
B: 0.377 0.123 0.000
B: 0.623 0.877 0.000
B: 0.877 0.377 0.000

Top 10 peaks for 10 to 80 degrees two-theta, by angle:
Position (°2θ), d (Å), intensity
32.0, 2.794, 29
37.7, 2.384, 24
39.9, 2.260, 36
43.4, 2.085, 62
44.0, 2.057, 32
46.6, 1.949, 100
47.3, 1.922, 40
50.3, 1.814, 38
54.9, 1.671, 16
67.0, 1.397, 16

Record 8
# Bi3Sb5Pb4O21
Theoretical X-ray diffraction stick pattern, Cu Ka. Input: DFT lattice parameters and positions (PBE).
Neutral-atom scattering factors, no anomalous dispersion.

Atomic structure:
a = 7.443 Å, b = 7.455 Å, c = 10.182 Å
α = 89.52°, β = 89.45°, γ = 60.56°
Element x y z (fractional)
Bi: 0.000 0.000 0.000
Bi: 0.180 0.129 0.283
Bi: 0.723 0.567 0.278
Sb: 0.220 0.614 0.345
Sb: 0.386 0.279 0.645
Sb: 0.388 0.780 0.642
Sb: 0.550 0.944 0.947
Sb: 0.888 0.780 0.647
Pb: 0.038 0.449 0.979
Pb: 0.523 0.466 0.963
Pb: 0.706 0.102 0.326
Pb: 0.889 0.280 0.643
O: 0.089 0.481 0.242
O: 0.089 0.482 0.690
O: 0.091 0.875 0.237
O: 0.091 0.876 0.686
O: 0.291 0.068 0.054
O: 0.291 0.078 0.601
O: 0.354 0.351 0.454
O: 0.363 0.742 0.449
O: 0.423 0.205 0.836
O: 0.423 0.811 0.836
O: 0.479 0.483 0.690
O: 0.481 0.479 0.236
O: 0.677 0.680 0.052
O: 0.678 0.075 0.055
O: 0.684 0.077 0.599
O: 0.687 0.683 0.605
O: 0.818 0.822 0.840
O: 0.863 0.285 0.886
O: 0.879 0.276 0.399
O: 0.914 0.273 0.146
O: 0.959 0.749 0.455

Top 10 peaks for 10 to 80 degrees two-theta, by angle:
Position (°2θ), d (Å), intensity
26.3, 3.394, 59
28.9, 3.089, 52
29.0, 3.079, 100
32.7, 2.742, 53
33.1, 2.706, 29
45.2, 2.006, 14
45.4, 1.997, 29
48.5, 1.878, 12
48.9, 1.862, 27
53.0, 1.729, 12